(1)
Diffraction record for Na3NiF6. The powder XRD pattern is calculated, not measured: it uses the GGA+U geometry in the Materials Project and Cu Kα (weighted mean of Kα1 and Kα2).
No peak broadening, texture or thermal motion is included.

Top 10 peaks for 2θ = 10–90°, by angle:
hkl 1 1 1, 18.97 deg, rel. 64
hkl 2 0 0, 21.94 deg, rel. 79
hkl 2 2 0, 31.22 deg, rel. 93
hkl 3 1 1, 36.79 deg, rel. 16
hkl 2 2 2, 38.48 deg, rel. 18
hkl 4 0 0, 44.74 deg, rel. 100
hkl 4 2 0, 50.36 deg, rel. 25
hkl 4 2 2, 55.56 deg, rel. 33
hkl 4 4 0, 65.12 deg, rel. 52
hkl 6 2 0, 73.98 deg, rel. 16

Structure:
a b c (Å): 8.1033 8.1033 8.1033
angles (deg): 90.00 90.00 90.00
Space group Fm-3m (No. 225)
Inequivalent atoms, fractional coordinates:
Na: 0.0000 0.0000 0.0000
Na: 0.2500 0.2500 0.2500
Ni: 0.0000 0.0000 0.5000
F: 0.0000 0.0000 0.2680

***

(2)
Diffraction record for Na4NiP2O7F2. The powder XRD pattern is calculated, not measured: it uses the GGA+U geometry in the Materials Project and Cu Kα (weighted mean of Kα1 and Kα2).
No peak broadening, texture or thermal motion is included.

Top 10 peaks for 2θ = 10–90°, by angle:
hkl 0 2 0, 11.68 deg, rel. 69
hkl 0 1 1, 12.69 deg, rel. 87
hkl 0 3 1, 20.91 deg, rel. 51
hkl 2 1 1, 28.02 deg, rel. 100
hkl 0 4 2, 32.84 deg, rel. 84
hkl 2 0 2, 33.88 deg, rel. 71
hkl 2 4 0, 34.48 deg, rel. 33
hkl 0 6 2, 42.55 deg, rel. 28
hkl 4 0 0, 51.04 deg, rel. 25
hkl 2 5 3, 52.80 deg, rel. 43

Structure:
a b c (Å): 7.1574 15.1506 7.8605
angles (deg): 90.00 90.00 90.00
Space group Imma (No. 74)
Inequivalent atoms, fractional coordinates:
Na: 0.0000 0.1388 0.0485
Na: 0.2500 0.0164 0.7500
Ni: 0.2500 0.2500 0.7500
P: 0.0000 0.1529 0.4700
O: 0.0000 0.0855 0.3268
O: 0.0000 0.2500 0.3718
O: 0.1791 0.1498 0.5788
F: 0.0000 0.0000 0.0000
F: 0.0000 0.2500 0.8661